Starting from DFT lattice parameters and positions (PBE), the XRD peak list of CeMgTcN3 was simulated for Cu Kα, 1.54184 Å.
Lines closer than 0.1° are merged.

Most intense lines, 15 to 90 degrees two-theta, in order of rising 2θ:
- 21.87 deg, intensity 38.6, hkl 0 0 2
- 31.09 deg, intensity 34.1, hkl 1 0 2
- 32.82 deg, intensity 100.0, hkl 2 0 0
- 36.00 deg, intensity 93.0, hkl 1 1 1
- 36.63 deg, intensity 62.5, hkl 1 1 -2
- 39.40 deg, intensity 25.7, hkl 2 0 -3
- 42.33 deg, intensity 24.7, hkl 1 1 2
- 42.64 deg, intensity 24.9, hkl 1 0 -4

Atomic structure:
```
data_CeMgTcN3
_chemical_formula_sum 'Ce2 Mg2 Tc2 N6'
_cell_length_a 5.7017
_cell_length_b 3.1858
_cell_length_c 8.5049
_cell_angle_alpha 90.00
_cell_angle_beta 107.12
_cell_angle_gamma 90.00
_symmetry_space_group_name_H-M 'P 1 21/m 1'
_symmetry_Int_Tables_number 11
_symmetry_space_group_name_Hall '-P 2yb'
loop_
_atom_site_label
_atom_site_type_symbol
_atom_site_fract_x
_atom_site_fract_y
_atom_site_fract_z
Ce1 Ce 0.0301 0.2500 0.2125
Mg1 Mg 0.3534 0.7500 0.5791
Tc1 Tc 0.4950 0.7500 0.1251
N1 N 0.1817 0.2500 0.6744
N2 N 0.2540 0.2500 0.0078
N3 N 0.3451 0.7500 0.3270
```